1.
Starting from a GGA-PBE-relaxed structure, the powder diffraction line list of LiCeInSn was computed for Cu Kα (weighted mean of Kα1 and Kα2).
No peak broadening, texture or thermal motion is included.

```
data_LiCeInSn
_chemical_formula_sum 'Li1 Ce1 In1 Sn1'
_symmetry_space_group_name_H-M 'P m m m'
_symmetry_Int_Tables_number 47
_symmetry_space_group_name_Hall '-P 2 2'
_cell_length_a 4.525
_cell_length_b 4.610
_cell_length_c 4.809
_cell_angle_alpha 90.00
_cell_angle_beta 90.00
_cell_angle_gamma 90.00
loop_
_atom_site_label
_atom_site_type_symbol
_atom_site_fract_x
_atom_site_fract_y
_atom_site_fract_z
_atom_site_occupancy
Li1 Li 0.000 0.000 0.000 1
Ce1 Ce 0.000 0.500 0.500 1
In1 In 0.500 0.500 0.000 1
Sn1 Sn 0.500 0.000 0.500 1
```

Top 8 peaks for 10° ≤ 2θ ≤ 90°, in order of rising 2θ:
d/Å, two_theta, I_rel, h k l
4.809, 18.45, 14, 0 0 1
2.681, 33.42, 100, 1 1 1
2.405, 37.40, 18, 0 0 2
2.305, 39.08, 16, 0 2 0
2.262, 39.85, 15, 2 0 0
1.436, 64.94, 15, 1 1 3
1.393, 67.23, 13, 1 3 1
1.374, 68.27, 13, 3 1 1

2.
Starting from a GGA-PBE-relaxed structure, the powder diffraction line list of Ac12Ru2Rh5 was computed for Cu Kα (weighted mean of Kα1 and Kα2).
No peak broadening, texture or thermal motion is included.

```
data_Ac12Ru2Rh5
_chemical_formula_sum 'Ac24 Ru4 Rh10'
_symmetry_space_group_name_H-M 'C 1 2/m 1'
_symmetry_Int_Tables_number 12
_symmetry_space_group_name_Hall '-C 2y'
_cell_length_a 16.669
_cell_length_b 7.929
_cell_length_c 10.074
_cell_angle_alpha 90.00
_cell_angle_beta 106.41
_cell_angle_gamma 90.00
loop_
_atom_site_label
_atom_site_type_symbol
_atom_site_fract_x
_atom_site_fract_y
_atom_site_fract_z
_atom_site_occupancy
Ac1 Ac 0.009 0.000 0.303 1
Ac2 Ac 0.042 0.500 0.299 1
Ac3 Ac 0.143 0.246 0.045 1
Ac4 Ac 0.178 0.244 0.619 1
Ru1 Ru 0.000 0.296 0.500 1
Rh1 Rh 0.000 0.500 0.000 1
Rh2 Rh 0.187 0.000 0.342 1
Rh3 Rh 0.202 0.000 0.860 1
```

Top 8 peaks for 10° ≤ 2θ ≤ 90°, in order of rising 2θ:
d/Å, two_theta, I_rel, h k l
3.624, 24.57, 67, 4 0 -2
3.552, 25.07, 51, 2 2 0
3.373, 26.43, 52, 4 0 1
3.065, 29.13, 83, 0 2 2
3.050, 29.28, 100, 2 2 -2
2.815, 31.79, 56, 4 2 0
2.665, 33.63, 47, 6 0 0
2.518, 35.66, 50, 2 0 -4

3.
Starting from a GGA-PBE-relaxed structure, the powder diffraction line list of SrZn3Se4O12 was computed for Cu Kα (weighted mean of Kα1 and Kα2).
No peak broadening, texture or thermal motion is included.

```
data_SrZn3Se4O12
_chemical_formula_sum 'Sr3 Zn9 Se12 O36'
_symmetry_space_group_name_H-M 'R 3 2'
_symmetry_Int_Tables_number 155
_symmetry_space_group_name_Hall 'R 3 2"'
_cell_length_a 10.8393
_cell_length_b 10.8393
_cell_length_c 8.0753
_cell_angle_alpha 90.00
_cell_angle_beta 90.00
_cell_angle_gamma 120.00
loop_
_atom_site_label
_atom_site_type_symbol
_atom_site_fract_x
_atom_site_fract_y
_atom_site_fract_z
_atom_site_occupancy
Sr1 Sr 0.0000 0.0000 0.0000 1
Zn1 Zn 0.0000 0.5709 0.0000 1
Se1 Se 0.0000 0.0000 0.5000 1
Se2 Se 0.0000 0.3980 0.5000 1
O1 O 0.0000 0.5559 0.5000 1
O2 O 0.0000 0.8266 0.5000 1
O3 O 0.0505 0.1942 0.2084 1
```

Top 8 peaks for 10° ≤ 2θ ≤ 90°, in order of rising 2θ:
d/Å, two_theta, I_rel, h k l
3.248, 27.46, 48, 2 1 1
3.129, 28.53, 36, 3 0 0
3.061, 29.18, 100, 2 0 2
2.478, 36.25, 32, 1 3 1
2.411, 37.30, 32, 1 1 3
1.900, 47.87, 29, 2 3 2
1.702, 53.85, 26, 5 0 2
1.503, 61.71, 23, 5 2 0

4.
Starting from a GGA-PBE-relaxed structure, the powder diffraction line list of NpTcN was computed for Cu Kα (weighted mean of Kα1 and Kα2).
No peak broadening, texture or thermal motion is included.

```
data_NpTcN
_chemical_formula_sum 'Np16 Tc16 N16'
_symmetry_space_group_name_H-M 'F d d d'
_symmetry_Int_Tables_number 70
_cell_length_a 7.678
_cell_length_b 8.725
_cell_length_c 10.624
_cell_angle_alpha 90.00
_cell_angle_beta 90.00
_cell_angle_gamma 90.00
loop_
_symmetry_equiv_pos_as_xyz
'x,y,z'
'-x,-y,-z'
'-x+1/4,-y+1/4,z'
'x+1/4,y+1/4,-z'
'x,-y+1/4,-z+1/4'
'-x,y+1/4,z+1/4'
'-x+1/4,y,-z+1/4'
'x+1/4,-y,z+1/4'
'x,y+1/2,z+1/2'
'-x,-y+1/2,-z+1/2'
'-x+1/4,-y+3/4,z+1/2'
'x+1/4,y+3/4,-z+1/2'
'x,-y+3/4,-z+3/4'
'-x,y+3/4,z+3/4'
'-x+1/4,y+1/2,-z+3/4'
'x+1/4,-y+1/2,z+3/4'
'x+1/2,y,z+1/2'
'-x+1/2,-y,-z+1/2'
'-x+3/4,-y+1/4,z+1/2'
'x+3/4,y+1/4,-z+1/2'
'x+1/2,-y+1/4,-z+3/4'
'-x+1/2,y+1/4,z+3/4'
'-x+3/4,y,-z+3/4'
'x+3/4,-y,z+3/4'
'x+1/2,y+1/2,z'
'-x+1/2,-y+1/2,-z'
'-x+3/4,-y+3/4,z'
'x+3/4,y+3/4,-z'
'x+1/2,-y+3/4,-z+1/4'
'-x+1/2,y+3/4,z+1/4'
'-x+3/4,y+1/2,-z+1/4'
'x+3/4,-y+1/2,z+1/4'
loop_
_atom_site_label
_atom_site_type_symbol
_atom_site_fract_x
_atom_site_fract_y
_atom_site_fract_z
_atom_site_occupancy
Np1 Np 0.125 0.125 0.291 1
Tc1 Tc 0.000 0.000 0.500 1
N1 N 0.077 0.375 0.375 1
```

Top 8 peaks for 10° ≤ 2θ ≤ 90°, in order of rising 2θ:
d/Å, two_theta, I_rel, h k l
3.111, 28.69, 41, 2 0 2
3.017, 29.61, 56, 1 1 3
2.882, 31.03, 100, 2 2 0
2.656, 33.75, 35, 0 0 4
2.635, 34.03, 60, 1 3 1
2.393, 37.59, 39, 3 1 1
2.157, 41.88, 83, 1 3 3
2.018, 44.92, 75, 3 1 3

Copy entry 2 word for word.
Starting from a GGA-PBE-relaxed structure, the powder diffraction line list of Ac12Ru2Rh5 was computed for Cu Kα (weighted mean of Kα1 and Kα2).
No peak broadening, texture or thermal motion is included.

```
data_Ac12Ru2Rh5
_chemical_formula_sum 'Ac24 Ru4 Rh10'
_symmetry_space_group_name_H-M 'C 1 2/m 1'
_symmetry_Int_Tables_number 12
_symmetry_space_group_name_Hall '-C 2y'
_cell_length_a 16.669
_cell_length_b 7.929
_cell_length_c 10.074
_cell_angle_alpha 90.00
_cell_angle_beta 106.41
_cell_angle_gamma 90.00
loop_
_atom_site_label
_atom_site_type_symbol
_atom_site_fract_x
_atom_site_fract_y
_atom_site_fract_z
_atom_site_occupancy
Ac1 Ac 0.009 0.000 0.303 1
Ac2 Ac 0.042 0.500 0.299 1
Ac3 Ac 0.143 0.246 0.045 1
Ac4 Ac 0.178 0.244 0.619 1
Ru1 Ru 0.000 0.296 0.500 1
Rh1 Rh 0.000 0.500 0.000 1
Rh2 Rh 0.187 0.000 0.342 1
Rh3 Rh 0.202 0.000 0.860 1
```

Top 8 peaks for 10° ≤ 2θ ≤ 90°, in order of rising 2θ:
d/Å, two_theta, I_rel, h k l
3.624, 24.57, 67, 4 0 -2
3.552, 25.07, 51, 2 2 0
3.373, 26.43, 52, 4 0 1
3.065, 29.13, 83, 0 2 2
3.050, 29.28, 100, 2 2 -2
2.815, 31.79, 56, 4 2 0
2.665, 33.63, 47, 6 0 0
2.518, 35.66, 50, 2 0 -4

What is the formula in the third record?
SrZn3Se4O12